Li7BiO6: calculated powder X-ray diffraction pattern (Cu Kα X-rays), based on a cell relaxed with PBE.
Lines closer than 0.1° are merged.

Cell and atoms:
```
Li7BiO6
1.0
2.8561 1.6490 5.1114
-2.8561 1.6490 5.1114
0.0000 -3.2980 5.1114
Li Bi O
7 1 6
Cartesian
0.0000 0.0000 0.0000 Li
-1.1150 -1.8854 7.1526 Li
-1.5921 -0.0513 8.6967 Li
-1.0753 1.9083 7.1526 Li
0.8405 -1.3532 8.6967 Li
0.7516 1.4045 8.6967 Li
2.1903 -0.0230 7.1526 Li
0.0000 0.0000 5.3941 Bi
-1.6885 0.0546 6.7026 O
-1.0422 -1.8924 9.2016 O
0.7970 -1.4896 6.7026 O
-1.1178 1.8487 9.2016 O
0.8915 1.4350 6.7026 O
2.1599 0.0436 9.2016 O
```

The 10 most intense peaks (15 to 90 degrees two-theta), in order of rising 2θ:
| two_theta | d [Å] | I_rel |
| --- | --- | --- |
| 17.35 | 5.111 | 32 |
| 18.85 | 4.708 | 100 |
| 21.38 | 4.157 | 76 |
| 29.48 | 3.030 | 30 |
| 34.41 | 2.607 | 21 |
| 36.02 | 2.493 | 49 |
| 36.81 | 2.442 | 17 |
| 47.75 | 1.905 | 28 |
| 49.08 | 1.856 | 16 |
| 50.22 | 1.817 | 16 |

LiBi4O7: calculated powder X-ray diffraction pattern (Cu Kα X-rays), based on a cell relaxed with PBE.
Lines closer than 0.1° are merged.

Cell and atoms:
```
LiBi4O7
1.0
6.8306 0.0000 0.0000
0.6099 7.3218 0.0000
2.8507 2.8419 7.1701
Li Bi O
2 8 14
Cartesian
0.0000 0.0000 0.0000 Li
1.4253 1.4210 3.5851 Li
2.5398 5.2325 1.9701 Bi
4.1902 6.7669 5.6267 Bi
4.0669 2.8434 4.4882 Bi
2.8642 1.4200 1.0506 Bi
7.4270 8.7438 6.1195 Bi
6.2243 7.3204 2.6819 Bi
6.1010 3.3969 1.5434 Bi
7.7514 4.9312 5.2000 Bi
1.6033 7.5542 1.9275 O
1.4496 3.1445 0.7366 O
3.0594 5.1739 4.1461 O
4.8817 8.8090 6.4285 O
4.0893 8.1464 3.5922 O
3.7671 3.2525 2.1881 O
5.6150 4.0357 5.9491 O
4.6762 6.1281 1.2210 O
6.5241 6.9112 4.9821 O
6.2018 2.0174 3.5779 O
5.4094 1.3548 0.7416 O
7.2318 4.9898 3.0241 O
8.8416 7.0193 6.4335 O
8.6879 2.6096 5.2427 O
```

The 10 most intense peaks (15 to 90 degrees two-theta), in order of rising 2θ:
| two_theta | d [Å] | I_rel |
| --- | --- | --- |
| 24.84 | 3.585 | 40 |
| 27.89 | 3.199 | 51 |
| 28.70 | 3.111 | 81 |
| 29.05 | 3.073 | 88 |
| 30.42 | 2.938 | 100 |
| 31.10 | 2.875 | 51 |
| 31.53 | 2.838 | 34 |
| 32.22 | 2.778 | 48 |
| 49.21 | 1.852 | 34 |
| 52.07 | 1.756 | 39 |